The following is a simulated PXRD pattern of Li5Co3O8. It was derived from a DFT-relaxed cell (GGA+U, Alexandria), using copper Kα.

Principal peaks in the range 2θ from 10° to 90°, in order of rising 2θ:
| hkl | 2theta | intensity |
| --- | --- | --- |
| 0 1 0 | 18.3 | 88 |
| 0 1 1 | 18.4 | 86 |
| 0 0 1 | 18.9 | 1000 |
| 2 0 1 | 35.6 | 123 |
| 1 2 1 | 37.0 | 127 |
| -1 2 1 | 37.3 | 114 |
| 2 0 2 | 43.0 | 270 |
| 1 2 0 | 45.0 | 243 |
| -1 2 2 | 45.6 | 231 |
| 3 -2 0 | 64.4 | 129 |

Structural model:
Cell: 5.0857 5.6444 5.7964 Å, 61.09 70.60 89.51°
Positions (direct):
Li1 0.0000 0.0000 0.0000
Li2 0.0000 0.0000 0.5000
Li3 0.0000 0.5000 0.0000
Li4 0.4913 0.2499 0.0051
Li5 0.5087 0.7501 0.9949
Co1 0.0000 0.5000 0.5000
Co2 0.4966 0.7513 0.4994
Co3 0.5034 0.2487 0.5006
O1 0.2550 0.3658 0.2921
O2 0.2608 0.8419 0.2906
O3 0.2756 0.3803 0.7352
O4 0.2850 0.8798 0.7312
O5 0.7150 0.1202 0.2688
O6 0.7244 0.6197 0.2648
O7 0.7392 0.1581 0.7094
O8 0.7450 0.6342 0.7079